Record 1
For DyMg2, a PBE-relaxed structure gives the theoretical powder X-ray diffraction pattern in this record (Cu Kα, 1.54184 Å).

Atomic structure:
```
data_DyMg2
_space_group_name_H-M_alt 'P 6/m m m'
_space_group_IT_number 191
_space_group_name_Hall '-P 6 2'
_cell_length_a 5.2236
_cell_length_b 5.2236
_cell_length_c 3.3086
_cell_angle_alpha 90.00
_cell_angle_beta 90.00
_cell_angle_gamma 120.00
loop_
_atom_site_label
_atom_site_type_symbol
_atom_site_fract_x
_atom_site_fract_y
_atom_site_fract_z
Dy1 Dy 0.0000 0.0000 0.0000
Mg1 Mg 0.3333 0.6667 0.5000
```

Main lines, by angle (10° ≤ 2θ ≤ 90°):
- (1 0 0), 19.62 deg, I 98
- (1 0 1), 33.56 deg, I 100
- (1 1 0), 34.34 deg, I 61
- (2 0 0), 39.85 deg, I 16
- (1 1 1), 44.18 deg, I 16
- (2 0 1), 48.77 deg, I 35
- (2 1 0), 53.60 deg, I 14
- (1 0 2), 59.50 deg, I 10
- (2 1 1), 61.00 deg, I 36
- (3 0 0), 61.49 deg, I 11
- (1 1 2), 66.96 deg, I 17
- (3 1 1), 82.16 deg, I 15

=====

Record 2
For MgAlBi12O20, a PBE-relaxed structure gives the theoretical powder X-ray diffraction pattern in this record (Cu Kα, 1.54184 Å).

Atomic structure:
```
data_MgAlBi12O20
_space_group_name_H-M_alt 'C 1 2 1'
_space_group_IT_number 5
_space_group_name_Hall 'C 2y'
_cell_length_a 14.370
_cell_length_b 11.328
_cell_length_c 10.211
_cell_angle_alpha 90.00
_cell_angle_beta 134.41
_cell_angle_gamma 90.00
loop_
_atom_site_label
_atom_site_type_symbol
_atom_site_fract_x
_atom_site_fract_y
_atom_site_fract_z
Mg1 Mg 0.000 0.000 0.000
Al1 Al 0.000 0.774 0.000
Bi1 Bi 0.003 0.529 0.180
Bi2 Bi 0.015 0.218 0.826
Bi3 Bi 0.153 0.887 0.859
Bi4 Bi 0.177 0.803 0.483
Bi5 Bi 0.181 0.524 0.680
Bi6 Bi 0.183 0.154 0.674
O1 O 0.007 0.109 0.366
O2 O 0.025 0.593 0.655
O3 O 0.093 0.875 0.190
O4 O 0.103 0.688 0.999
O5 O 0.131 0.346 0.398
O6 O 0.149 0.026 0.006
O7 O 0.153 0.349 0.879
O8 O 0.184 0.636 0.376
O9 O 0.226 0.189 0.270
O10 O 0.234 0.975 0.767
```

Main lines, by angle (10° ≤ 2θ ≤ 90°):
- (2 2 -2), 23.45 deg, I 52
- (1 3 0), 25.13 deg, I 86
- (3 1 0), 27.22 deg, I 24
- (2 0 1), 27.36 deg, I 100
- (0 2 2), 29.12 deg, I 19
- (4 2 -2), 29.44 deg, I 25
- (1 3 1), 30.61 deg, I 40
- (3 3 -1), 30.75 deg, I 23
- (1 1 2), 32.26 deg, I 25
- (5 1 -2), 32.70 deg, I 43
- (1 3 2), 39.53 deg, I 23
- (2 0 -5), 51.78 deg, I 23

=====

Record 3
For Dy2MgS4, a PBE-relaxed structure gives the theoretical powder X-ray diffraction pattern in this record (Cu Kα, 1.54184 Å).

Atomic structure:
a b c (Å): 11.190 11.190 11.190
angles (deg): 90.00 90.00 90.00
Space group Fd-3m (No. 227, origin choice 2)
Symmetry-distinct sites (fractional):
Dy1 0.000 0.000 0.000
Mg1 0.125 0.125 0.625
S1 0.005 0.005 0.245

Main lines, by angle (10° ≤ 2θ ≤ 90°):
- (1 1 1), 13.71 deg, I 100
- (3 1 1), 26.42 deg, I 94
- (2 2 2), 27.61 deg, I 30
- (4 0 0), 31.99 deg, I 84
- (3 3 1), 34.95 deg, I 25
- (5 1 1), 41.95 deg, I 40
- (4 4 0), 45.87 deg, I 75
- (5 3 1), 48.11 deg, I 26
- (4 4 4), 57.02 deg, I 20
- (5 5 3), 63.90 deg, I 22
- (8 4 0), 76.08 deg, I 26
- (8 4 4), 84.91 deg, I 25